1.
Theoretical powder diffraction line list of MgAsBr for a wavelength of 1.5418 Å, from DFT lattice parameters and positions (PBE).
Neutral-atom scattering factors, no anomalous dispersion.

Cell and atoms:
```
data_MgAsBr
_chemical_formula_sum 'Mg2 As2 Br2'
_space_group_name_H-M_alt 'P 1'
_space_group_IT_number 1
_space_group_name_Hall 'P 1'
_cell_length_a 4.6470
_cell_length_b 3.8665
_cell_length_c 11.1398
_cell_angle_alpha 90.00
_cell_angle_beta 101.73
_cell_angle_gamma 90.00
loop_
_atom_site_label
_atom_site_type_symbol
_atom_site_fract_x
_atom_site_fract_y
_atom_site_fract_z
Mg1 Mg 0.0943 0.2500 0.1938
Mg2 Mg 0.9057 0.7500 0.8062
As1 As 0.4639 0.7500 0.9258
As2 As 0.5361 0.2500 0.0742
Br1 Br 0.1668 0.7500 0.3422
Br2 Br 0.8332 0.2500 0.6578
```

The 12 most intense peaks (2θ from 10° to 80°), in order of rising 2θ:
22.65°, rel. 81; 22.76°, rel. 80; 28.29°, rel. 100; 30.35°, rel. 40; 38.76°, rel. 31; 41.93°, rel. 45; 42.08°, rel. 45; 47.00°, rel. 17; 47.87°, rel. 17; 48.59°, rel. 25; 48.75°, rel. 22; 52.81°, rel. 31

---

2.
Theoretical powder diffraction line list of CuNi3Sn2 for a wavelength of 1.5418 Å, from DFT lattice parameters and positions (PBE).
Neutral-atom scattering factors, no anomalous dispersion.

Cell and atoms:
```
data_CuNi3Sn2
_chemical_formula_sum 'Cu2 Ni6 Sn4'
_space_group_name_H-M_alt 'P 1'
_space_group_IT_number 1
_space_group_name_Hall 'P 1'
_cell_length_a 2.9873
_cell_length_b 4.4892
_cell_length_c 14.2746
_cell_angle_alpha 90.00
_cell_angle_beta 90.00
_cell_angle_gamma 90.00
loop_
_atom_site_label
_atom_site_type_symbol
_atom_site_fract_x
_atom_site_fract_y
_atom_site_fract_z
Cu1 Cu 0.0000 0.0000 0.0000
Cu2 Cu 0.5000 0.5000 0.5000
Ni1 Ni 0.0000 0.0000 0.1772
Ni2 Ni 0.0000 0.0000 0.8228
Ni3 Ni 0.0000 0.5000 0.0000
Ni4 Ni 0.5000 0.0000 0.5000
Ni5 Ni 0.5000 0.5000 0.3228
Ni6 Ni 0.5000 0.5000 0.6772
Sn1 Sn 0.0000 0.0000 0.3557
Sn2 Sn 0.0000 0.0000 0.6443
Sn3 Sn 0.5000 0.5000 0.1443
Sn4 Sn 0.5000 0.5000 0.8557
```

The 12 most intense peaks (2θ from 10° to 80°), in order of rising 2θ:
20.74°, rel. 21; 35.48°, rel. 38; 36.12°, rel. 100; 37.81°, rel. 54; 38.33°, rel. 21; 40.18°, rel. 67; 43.87°, rel. 30; 44.40°, rel. 47; 53.29°, rel. 37; 54.66°, rel. 23; 56.35°, rel. 33; 60.98°, rel. 22

---

3.
Theoretical powder diffraction line list of Zn4P2Ru for a wavelength of 1.5418 Å, from DFT lattice parameters and positions (PBE).
Neutral-atom scattering factors, no anomalous dispersion.

Cell and atoms:
```
data_Zn4P2Ru
_chemical_formula_sum 'Zn8 P4 Ru2'
_space_group_name_H-M_alt 'P 1'
_space_group_IT_number 1
_space_group_name_Hall 'P 1'
_cell_length_a 7.0284
_cell_length_b 7.0284
_cell_length_c 4.5734
_cell_angle_alpha 90.00
_cell_angle_beta 90.00
_cell_angle_gamma 90.00
loop_
_atom_site_label
_atom_site_type_symbol
_atom_site_fract_x
_atom_site_fract_y
_atom_site_fract_z
Zn1 Zn 0.0556 0.0556 0.2331
Zn2 Zn 0.0556 0.4444 0.2331
Zn3 Zn 0.4444 0.0556 0.2331
Zn4 Zn 0.4444 0.4444 0.2331
Zn5 Zn 0.5556 0.5556 0.7669
Zn6 Zn 0.5556 0.9444 0.7669
Zn7 Zn 0.9444 0.5556 0.7669
Zn8 Zn 0.9444 0.9444 0.7669
P1 P 0.2500 0.2500 0.5602
P2 P 0.2500 0.7500 0.5000
P3 P 0.7500 0.2500 0.5000
P4 P 0.7500 0.7500 0.4398
Ru1 Ru 0.2500 0.7500 0.0000
Ru2 Ru 0.7500 0.2500 0.0000
```

The 12 most intense peaks (2θ from 10° to 80°), in order of rising 2θ:
17.85°, rel. 24; 23.20°, rel. 37; 26.49°, rel. 35; 34.63°, rel. 27; 36.15°, rel. 89; 40.59°, rel. 41; 43.40°, rel. 64; 43.57°, rel. 20; 45.37°, rel. 20; 47.43°, rel. 100; 50.92°, rel. 37; 70.15°, rel. 22

---

4.
Theoretical powder diffraction line list of Pr2DySi3Pt12 for a wavelength of 1.5418 Å, from DFT lattice parameters and positions (PBE).
Neutral-atom scattering factors, no anomalous dispersion.

Cell and atoms:
```
data_Pr2DySi3Pt12
_chemical_formula_sum 'Pr2 Dy1 Si3 Pt12'
_space_group_name_H-M_alt 'P 1'
_space_group_IT_number 1
_space_group_name_Hall 'P 1'
_cell_length_a 7.7538
_cell_length_b 7.7538
_cell_length_c 7.7538
_cell_angle_alpha 65.14
_cell_angle_beta 65.14
_cell_angle_gamma 65.14
loop_
_atom_site_label
_atom_site_type_symbol
_atom_site_fract_x
_atom_site_fract_y
_atom_site_fract_z
Pr1 Pr 0.0997 0.0997 0.0997
Pr2 Pr 0.9003 0.9003 0.9003
Dy1 Dy 0.5000 0.5000 0.5000
Si1 Si 0.0000 0.5000 0.5000
Si2 Si 0.5000 0.0000 0.5000
Si3 Si 0.5000 0.5000 0.0000
Pt1 Pt 0.1001 0.6435 0.6435
Pt2 Pt 0.1518 0.1518 0.5998
Pt3 Pt 0.1518 0.5998 0.1518
Pt4 Pt 0.3565 0.3565 0.8999
Pt5 Pt 0.3565 0.8999 0.3565
Pt6 Pt 0.4002 0.8482 0.8482
Pt7 Pt 0.5998 0.1518 0.1518
Pt8 Pt 0.6435 0.1001 0.6435
Pt9 Pt 0.6435 0.6435 0.1001
Pt10 Pt 0.8482 0.4002 0.8482
Pt11 Pt 0.8482 0.8482 0.4002
Pt12 Pt 0.8999 0.3565 0.3565
```

The 12 most intense peaks (2θ from 10° to 80°), in order of rising 2θ:
23.08°, rel. 17; 31.60°, rel. 100; 34.26°, rel. 26; 38.41°, rel. 13; 43.35°, rel. 60; 47.16°, rel. 41; 48.21°, rel. 12; 54.63°, rel. 17; 65.36°, rel. 11; 65.98°, rel. 13; 72.18°, rel. 11; 77.84°, rel. 17

---

5.
Theoretical powder diffraction line list of LaPrI5 for a wavelength of 1.5418 Å, from DFT lattice parameters and positions (PBE).
Neutral-atom scattering factors, no anomalous dispersion.

Cell and atoms:
```
data_LaPrI5
_chemical_formula_sum 'La2 Pr2 I10'
_space_group_name_H-M_alt 'P 1'
_space_group_IT_number 1
_space_group_name_Hall 'P 1'
_cell_length_a 9.3719
_cell_length_b 4.3557
_cell_length_c 15.0947
_cell_angle_alpha 90.00
_cell_angle_beta 94.41
_cell_angle_gamma 90.00
loop_
_atom_site_label
_atom_site_type_symbol
_atom_site_fract_x
_atom_site_fract_y
_atom_site_fract_z
La1 La 0.0997 0.2500 0.1510
La2 La 0.9003 0.7500 0.8490
Pr1 Pr 0.4159 0.7500 0.3438
Pr2 Pr 0.5841 0.2500 0.6562
I1 I 0.0660 0.7500 0.3091
I2 I 0.1392 0.2500 0.9297
I3 I 0.3183 0.2500 0.4857
I4 I 0.3502 0.7500 0.1276
I5 I 0.3621 0.7500 0.7140
I6 I 0.6379 0.2500 0.2860
I7 I 0.6498 0.2500 0.8724
I8 I 0.6817 0.7500 0.5143
I9 I 0.8608 0.7500 0.0703
I10 I 0.9340 0.2500 0.6909
```

The 12 most intense peaks (2θ from 10° to 80°), in order of rising 2θ:
10.75°, rel. 100; 25.82°, rel. 54; 27.07°, rel. 49; 28.01°, rel. 45; 28.32°, rel. 72; 29.70°, rel. 51; 29.88°, rel. 31; 31.42°, rel. 24; 36.96°, rel. 21; 37.95°, rel. 24; 40.03°, rel. 22; 41.47°, rel. 36

---

6.
Theoretical powder diffraction line list of CdGePRuPt for a wavelength of 1.5418 Å, from DFT lattice parameters and positions (PBE).
Neutral-atom scattering factors, no anomalous dispersion.

Cell and atoms:
```
data_CdGePRuPt
_chemical_formula_sum 'Cd1 Ge1 P1 Ru1 Pt1'
_space_group_name_H-M_alt 'P 1'
_space_group_IT_number 1
_space_group_name_Hall 'P 1'
_cell_length_a 5.3439
_cell_length_b 3.0521
_cell_length_c 5.7267
_cell_angle_alpha 90.00
_cell_angle_beta 113.91
_cell_angle_gamma 90.00
loop_
_atom_site_label
_atom_site_type_symbol
_atom_site_fract_x
_atom_site_fract_y
_atom_site_fract_z
Cd1 Cd 0.0000 0.0000 0.0000
Ge1 Ge 0.3970 0.0000 0.6418
P1 P 0.6047 0.0000 0.3557
Ru1 Ru 0.5190 0.5000 0.0263
Pt1 Pt 0.9853 0.5000 0.5292
```

The 12 most intense peaks (2θ from 10° to 80°), in order of rising 2θ:
18.16°, rel. 19; 19.18°, rel. 38; 31.56°, rel. 28; 34.26°, rel. 49; 35.22°, rel. 100; 36.79°, rel. 48; 38.92°, rel. 19; 42.14°, rel. 90; 45.16°, rel. 19; 49.43°, rel. 17; 61.53°, rel. 17; 74.47°, rel. 18

---

7.
Theoretical powder diffraction line list of TbSm2DyHo2 for a wavelength of 1.5418 Å, from DFT lattice parameters and positions (PBE).
Neutral-atom scattering factors, no anomalous dispersion.

Cell and atoms:
```
data_TbSm2DyHo2
_chemical_formula_sum 'Tb2 Sm4 Dy2 Ho4'
_space_group_name_H-M_alt 'P 1'
_space_group_IT_number 1
_space_group_name_Hall 'P 1'
_cell_length_a 6.6431
_cell_length_b 17.5669
_cell_length_c 3.3755
_cell_angle_alpha 90.00
_cell_angle_beta 90.00
_cell_angle_gamma 90.00
loop_
_atom_site_label
_atom_site_type_symbol
_atom_site_fract_x
_atom_site_fract_y
_atom_site_fract_z
Tb1 Tb 0.0000 0.0000 0.0000
Tb2 Tb 0.5000 0.5000 0.5000
Sm1 Sm 0.2353 0.3492 0.5000
Sm2 Sm 0.2647 0.8492 0.0000
Sm3 Sm 0.7353 0.1508 0.0000
Sm4 Sm 0.7647 0.6508 0.5000
Dy1 Dy 0.0000 0.5000 0.0000
Dy2 Dy 0.5000 0.0000 0.5000
Ho1 Ho 0.2395 0.1778 0.0000
Ho2 Ho 0.2605 0.6778 0.5000
Ho3 Ho 0.7395 0.3222 0.5000
Ho4 Ho 0.7605 0.8222 0.0000
```

The 12 most intense peaks (2θ from 10° to 80°), in order of rising 2θ:
26.88°, rel. 27; 28.73°, rel. 59; 30.55°, rel. 100; 31.42°, rel. 25; 33.84°, rel. 41; 36.19°, rel. 19; 38.36°, rel. 15; 41.12°, rel. 46; 54.34°, rel. 17; 62.62°, rel. 16; 63.62°, rel. 16; 64.52°, rel. 22

---

8.
Theoretical powder diffraction line list of Pa3FePt2 for a wavelength of 1.5418 Å, from DFT lattice parameters and positions (PBE).
Neutral-atom scattering factors, no anomalous dispersion.

Cell and atoms:
```
data_Pa3FePt2
_chemical_formula_sum 'Pa6 Fe2 Pt4'
_space_group_name_H-M_alt 'P 1'
_space_group_IT_number 1
_space_group_name_Hall 'P 1'
_cell_length_a 6.8980
_cell_length_b 6.8980
_cell_length_c 6.9048
_cell_angle_alpha 103.39
_cell_angle_beta 103.39
_cell_angle_gamma 52.11
loop_
_atom_site_label
_atom_site_type_symbol
_atom_site_fract_x
_atom_site_fract_y
_atom_site_fract_z
Pa1 Pa 0.1365 0.8635 0.7500
Pa2 Pa 0.2417 0.4525 0.3876
Pa3 Pa 0.4525 0.2417 0.8876
Pa4 Pa 0.5475 0.7583 0.1124
Pa5 Pa 0.7583 0.5475 0.6124
Pa6 Pa 0.8635 0.1365 0.2500
Fe1 Fe 0.3612 0.6388 0.2500
Fe2 Fe 0.6388 0.3612 0.7500
Pt1 Pt 0.0510 0.2729 0.0195
Pt2 Pt 0.2729 0.0510 0.5195
Pt3 Pt 0.7271 0.9490 0.4805
Pt4 Pt 0.9490 0.7271 0.9805
```

The 12 most intense peaks (2θ from 10° to 80°), in order of rising 2θ:
27.21°, rel. 31; 32.46°, rel. 95; 33.67°, rel. 36; 33.97°, rel. 93; 34.31°, rel. 45; 34.72°, rel. 79; 37.32°, rel. 100; 42.10°, rel. 64; 45.44°, rel. 49; 53.74°, rel. 35; 61.16°, rel. 46; 75.38°, rel. 29

---

9.
Theoretical powder diffraction line list of Li5In3Ag for a wavelength of 1.5418 Å, from DFT lattice parameters and positions (PBE).
Neutral-atom scattering factors, no anomalous dispersion.

Cell and atoms:
```
data_Li5In3Ag
_chemical_formula_sum 'Li10 In6 Ag2'
_space_group_name_H-M_alt 'P 1'
_space_group_IT_number 1
_space_group_name_Hall 'P 1'
_cell_length_a 5.9252
_cell_length_b 5.9252
_cell_length_c 11.4883
_cell_angle_alpha 91.70
_cell_angle_beta 91.70
_cell_angle_gamma 76.20
loop_
_atom_site_label
_atom_site_type_symbol
_atom_site_fract_x
_atom_site_fract_y
_atom_site_fract_z
Li1 Li 0.0134 0.0134 0.2756
Li2 Li 0.0535 0.4886 0.3280
Li3 Li 0.1617 0.8383 0.0000
Li4 Li 0.2455 0.2455 0.8657
Li5 Li 0.4886 0.0535 0.3280
Li6 Li 0.5114 0.9465 0.6720
Li7 Li 0.7545 0.7545 0.1343
Li8 Li 0.8383 0.1617 0.0000
Li9 Li 0.9465 0.5114 0.6720
Li10 Li 0.9866 0.9866 0.7244
In1 In 0.1610 0.1610 0.5149
In2 In 0.2371 0.2371 0.1169
In3 In 0.5000 0.5000 0.0000
In4 In 0.5000 0.5000 0.5000
In5 In 0.7629 0.7629 0.8831
In6 In 0.8390 0.8390 0.4851
Ag1 Ag 0.4897 0.4897 0.7456
Ag2 Ag 0.5103 0.5103 0.2544
```

The 12 most intense peaks (2θ from 10° to 80°), in order of rising 2θ:
15.41°, rel. 82; 17.40°, rel. 25; 21.61°, rel. 42; 24.34°, rel. 100; 31.29°, rel. 65; 34.57°, rel. 25; 35.26°, rel. 24; 36.13°, rel. 21; 39.97°, rel. 22; 43.92°, rel. 20; 44.05°, rel. 22; 47.41°, rel. 21

---

10.
Theoretical powder diffraction line list of ZnCrRh4 for a wavelength of 1.5418 Å, from DFT lattice parameters and positions (PBE).
Neutral-atom scattering factors, no anomalous dispersion.

Cell and atoms:
```
data_ZnCrRh4
_chemical_formula_sum 'Zn1 Cr1 Rh4'
_space_group_name_H-M_alt 'P 1'
_space_group_IT_number 1
_space_group_name_Hall 'P 1'
_cell_length_a 5.0946
_cell_length_b 5.0946
_cell_length_c 5.0946
_cell_angle_alpha 60.00
_cell_angle_beta 60.00
_cell_angle_gamma 60.00
loop_
_atom_site_label
_atom_site_type_symbol
_atom_site_fract_x
_atom_site_fract_y
_atom_site_fract_z
Zn1 Zn 0.0000 0.0000 0.0000
Cr1 Cr 0.7500 0.7500 0.7500
Rh1 Rh 0.3749 0.3749 0.3749
Rh2 Rh 0.3749 0.3749 0.8754
Rh3 Rh 0.3749 0.8754 0.3749
Rh4 Rh 0.8754 0.3749 0.3749
```

The 10 most intense peaks (2θ from 10° to 80°), in order of rising 2θ:
21.36°, rel. 33; 35.23°, rel. 14; 41.57°, rel. 100; 43.51°, rel. 58; 50.68°, rel. 14; 55.60°, rel. 7; 63.23°, rel. 5; 67.56°, rel. 30; 74.50°, rel. 28; 78.55°, rel. 6

---

11.
Theoretical powder diffraction line list of PrPu3Bi4 for a wavelength of 1.5418 Å, from DFT lattice parameters and positions (PBE).
Neutral-atom scattering factors, no anomalous dispersion.

Cell and atoms:
```
data_PrPu3Bi4
_chemical_formula_sum 'Pr2 Pu6 Bi8'
_space_group_name_H-M_alt 'P 1'
_space_group_IT_number 1
_space_group_name_Hall 'P 1'
_cell_length_a 7.9045
_cell_length_b 9.1701
_cell_length_c 7.9008
_cell_angle_alpha 90.00
_cell_angle_beta 109.71
_cell_angle_gamma 90.00
loop_
_atom_site_label
_atom_site_type_symbol
_atom_site_fract_x
_atom_site_fract_y
_atom_site_fract_z
Pr1 Pr 0.0000 0.1252 0.2500
Pr2 Pr 0.0000 0.8748 0.7500
Pu1 Pu 0.0000 0.3756 0.7500
Pu2 Pu 0.0000 0.6244 0.2500
Pu3 Pu 0.5000 0.1250 0.7500
Pu4 Pu 0.5000 0.3757 0.2500
Pu5 Pu 0.5000 0.6243 0.7500
Pu6 Pu 0.5000 0.8750 0.2500
Bi1 Bi 0.2522 0.3778 0.5031
Bi2 Bi 0.2522 0.6222 0.0031
Bi3 Bi 0.2564 0.1275 0.9995
Bi4 Bi 0.2564 0.8725 0.4995
Bi5 Bi 0.7436 0.1275 0.5005
Bi6 Bi 0.7436 0.8725 0.0005
Bi7 Bi 0.7478 0.3778 0.9969
Bi8 Bi 0.7478 0.6222 0.4969
```

The 12 most intense peaks (2θ from 10° to 80°), in order of rising 2θ:
27.62°, rel. 100; 39.30°, rel. 13; 39.45°, rel. 53; 39.62°, rel. 13; 48.70°, rel. 15; 48.98°, rel. 14; 57.03°, rel. 14; 64.30°, rel. 6; 64.51°, rel. 26; 64.75°, rel. 6; 71.38°, rel. 14; 71.78°, rel. 9